This entry pairs a crystal structure of BaCaTbBiO6 with its calculated powder XRD pattern. Radiation: CuKα. Structure: DFT lattice parameters and positions (PBE).

Cell and atoms:
a = 6.114 Å, b = 6.114 Å, c = 6.114 Å
α = 60.00°, β = 60.00°, γ = 60.00°
Sites, in units of the cell vectors:
Ba  0.000  0.000  0.000
Ca  0.500  0.500  0.500
Tb  0.250  0.250  0.250
Bi  0.750  0.750  0.750
O  0.506  0.506  0.994
O  0.506  0.994  0.506
O  0.506  0.994  0.994
O  0.994  0.506  0.506
O  0.994  0.506  0.994
O  0.994  0.994  0.506

Peak list (12 most intense, 2θ = 10–90°, by angle)
2θ 17.77, 4.992 Å, I 9; 2θ 20.54, 4.323 Å, I 23; 2θ 29.21, 3.057 Å, I 100; 2θ 34.40, 2.607 Å, I 5; 2θ 41.79, 2.162 Å, I 30; 2θ 47.00, 1.933 Å, I 11; 2θ 51.80, 1.765 Å, I 42; 2θ 60.58, 1.528 Å, I 19; 2θ 64.68, 1.441 Å, I 5; 2θ 68.65, 1.367 Å, I 18; 2θ 76.30, 1.248 Å, I 6; 2θ 83.70, 1.155 Å, I 22